# La6Dy8Y
Calculated powder diffractogram, Cu Kα (weighted mean of Kα1 and Kα2). Input: a PBE-relaxed structure.
Intensities are scaled so that the largest is 100.

Structural model:
Cell: 9.1461 9.1461 21.2545 Å, 90.00 90.00 120.00°
Space group R-3 (No. 148, hexagonal axes)
Unique sites:
La 0.0528 0.8060 0.2131 [18 per cell]
Dy 0.0000 0.0000 0.0770 [6 per cell]
Dy 0.0804 0.5129 0.3056 [18 per cell]
Y 0.0000 0.0000 0.5000 [3 per cell]

Most intense lines, 2θ from 10° to 80°, by angle:
two_theta	I_rel	(hkl)
30.15	64	2 1 1
30.86	80	2 0 5
31.03	100	1 2 2
31.56	57	1 0 7
31.96	26	2 -1 6
36.31	26	0 3 3
51.95	16	0 3 9
53.28	16	5 -2 4
54.66	20	4 1 3
59.26	16	3 2 7


# La7DyY3
Calculated powder diffractogram, Cu Kα (weighted mean of Kα1 and Kα2). Input: a PBE-relaxed structure.
Intensities are scaled so that the largest is 100.

Structural model:
Cell: 6.637 6.814 8.961 Å, 100.42 98.50 95.92°
Space group P-1 (No. 2)
Unique sites:
La 0.000 0.000 0.000 [1 per cell]
La 0.053 0.714 0.646 [2 per cell]
La 0.199 0.230 0.706 [2 per cell]
La 0.484 0.730 0.916 [2 per cell]
Dy 0.000 0.500 0.000 [1 per cell]
Y 0.325 0.926 0.330 [2 per cell]
Y 0.500 0.500 0.500 [1 per cell]

Most intense lines, 2θ from 10° to 80°, by angle:
two_theta	I_rel	(hkl)
26.69	9	0 1 2
27.43	16	2 0 0
30.45	15	0 2 -2
30.92	40	0 0 3
30.99	39	1 2 -1
31.14	17	0 1 -3
31.40	100	-1 2 1
31.62	14	1 0 -3
32.45	20	1 1 2
33.47	22	1 -2 2


# LaDy5Y3
Calculated powder diffractogram, Cu Kα (weighted mean of Kα1 and Kα2). Input: a PBE-relaxed structure.
Intensities are scaled so that the largest is 100.

Structural model:
Cell: 19.237 6.070 11.190 Å, 90.00 112.50 90.00°
Space group C2/c (No. 15)
Unique sites:
La 0.000 0.143 0.250 [4 per cell]
Dy 0.000 0.376 0.750 [4 per cell]
Dy 0.165 0.259 0.697 [8 per cell]
Dy 0.169 0.268 0.029 [8 per cell]
Y 0.000 0.000 0.000 [4 per cell]
Y 0.176 0.222 0.364 [8 per cell]

Most intense lines, 2θ from 10° to 80°, by angle:
two_theta	I_rel	(hkl)
28.50	32	1 1 -3
28.56	26	3 1 -3
29.43	40	0 2 0
30.17	100	6 0 0
31.14	31	2 2 0
31.89	81	1 1 3
32.02	79	5 1 -3
42.65	29	6 2 0
53.82	28	1 3 3
58.05	26	4 2 -6